[1]
This entry pairs a crystal structure of BaSb2Pb with its computed PXRD pattern. Radiation: λ = 1.5418 Å (Cu Kα). Structure: DFT lattice parameters and positions (PBE).
Intensities are scaled so that the largest is 100.

The 10 most intense peaks (2θ = 10–80°), in order of rising 2θ:
2theta  I/Imax
14.3  19
25.6  39
28.9  28
29.4  100
29.8  98
36.8  68
37.6  32
47.5  25
61.6  20
62.2  20

Structure:
Unit cell a=12.8219 b=4.8851 c=12.8373 alpha=78.85 beta=21.95 gamma=79.20
Sites, in units of the cell vectors:
Ba 0.1057 0.8943 0.1057
Ba 0.8943 0.1057 0.8943
Sb 0.0760 0.4978 0.9240
Sb 0.3348 0.6587 0.3413
Sb 0.4978 0.0760 0.5022
Sb 0.6587 0.3348 0.6652
Pb 0.2472 0.2472 0.2528
Pb 0.7472 0.7472 0.7528

***

[2]
This entry pairs a crystal structure of Ba2SbPbSe5 with its computed PXRD pattern. Radiation: λ = 1.5418 Å (Cu Kα). Structure: DFT lattice parameters and positions (PBE).
Intensities are scaled so that the largest is 100.

The 10 most intense peaks (2θ = 10–80°), in order of rising 2θ:
2theta  I/Imax
22.0  14
24.4  34
25.1  15
28.6  100
33.5  28
33.8  13
36.8  22
40.3  26
41.8  11
50.1  19

Structure:
Unit cell a=9.8899 b=9.8899 c=13.3759 alpha=90.00 beta=90.00 gamma=153.81
Sites, in units of the cell vectors:
Ba 0.1136 0.8864 0.5000
Ba 0.1328 0.8672 0.1205
Ba 0.8672 0.1328 0.6205
Ba 0.8864 0.1136 0.0000
Sb 0.2188 0.7812 0.8329
Sb 0.7812 0.2188 0.3329
Pb 0.4437 0.5563 0.2689
Pb 0.5563 0.4437 0.7689
Se 0.0477 0.9523 0.8946
Se 0.2821 0.7179 0.4702
Se 0.3085 0.6915 0.1789
Se 0.3557 0.6443 0.8123
Se 0.4942 0.5058 0.5812
Se 0.5058 0.4942 0.0812
Se 0.6443 0.3557 0.3123
Se 0.6915 0.3085 0.6789
Se 0.7179 0.2821 0.9702
Se 0.9523 0.0477 0.3946

***

[3]
This entry pairs a crystal structure of BaSbPb2Se4 with its computed PXRD pattern. Radiation: λ = 1.5418 Å (Cu Kα). Structure: DFT lattice parameters and positions (PBE).
Intensities are scaled so that the largest is 100.

The 10 most intense peaks (2θ = 10–80°), in order of rising 2θ:
2theta  I/Imax
24.3  18
28.4  100
28.5  50
39.8  20
40.6  76
41.2  18
49.7  21
50.9  20
66.5  17
66.7  17

Structure:
Unit cell a=8.8853 b=8.8853 c=8.8853 alpha=120.95 beta=118.74 gamma=90.28
Sites, in units of the cell vectors:
Ba 0.5000 0.0000 0.0000
Ba 0.5000 0.5000 0.5000
Sb 0.0000 0.0000 0.0000
Sb 0.5000 0.0000 0.5000
Pb 0.0000 0.0000 0.5000
Pb 0.0000 0.5000 0.0000
Pb 0.0000 0.5000 0.5000
Pb 0.5000 0.5000 0.0000
Se 0.2327 0.2431 0.9896
Se 0.2445 0.2281 0.4836
Se 0.2445 0.7608 0.0164
Se 0.2465 0.7569 0.4896
Se 0.7535 0.2431 0.5104
Se 0.7555 0.2392 0.9836
Se 0.7555 0.7719 0.5164
Se 0.7673 0.7569 0.0104

***

[4]
This entry pairs a crystal structure of Ba3PbSe4 with its computed PXRD pattern. Radiation: λ = 1.5418 Å (Cu Kα). Structure: DFT lattice parameters and positions (PBE).
Intensities are scaled so that the largest is 100.

The 10 most intense peaks (2θ = 10–80°), in order of rising 2θ:
2theta  I/Imax
11.7  3
23.4  17
27.1  100
38.8  77
45.8  9
48.0  28
56.0  13
63.3  30
63.3  6
70.2  27

Structure:
Unit cell a=8.0459 b=8.0459 c=4.6506 alpha=90.00 beta=90.00 gamma=109.53
Sites, in units of the cell vectors:
Ba 0.0000 0.0000 0.0000
Ba 0.0000 0.5000 0.4998
Ba 0.5000 0.0000 0.4998
Pb 0.5000 0.5000 0.9991
Se 0.2544 0.7456 0.9998
Se 0.2585 0.2585 0.5001
Se 0.7415 0.7415 0.5001
Se 0.7456 0.2544 0.9998